# 1
For Ho2Ti3Si4, a PBE-relaxed structure gives the calculated X-ray diffraction stick pattern in this record (λ = 1.5418 Å (Cu Kα)).

Crystal structure
a b c (Å): 7.037 7.021 6.838
angles (deg): 90.00 108.90 90.00
Space group P2_1/c (No. 14)
Unique sites:
Ho 0.189 0.169 0.067 (multiplicity 4)
Ti 0.256 0.677 0.249 (multiplicity 4)
Ti 0.500 0.000 0.500 (multiplicity 2)
Si 0.085 0.539 0.871 (multiplicity 4)
Si 0.496 0.125 0.869 (multiplicity 4)

Peak list (10 most intense, 15° ≤ 2θ ≤ 90°, in order of rising 2θ)
2θ/deg, d_spacing, intensity, h k l
18.36, 4.831, 741, 1 1 0
26.45, 3.370, 297, 1 0 -2
33.85, 2.648, 561, 1 2 1
34.25, 2.618, 548, 2 1 -2
36.50, 2.462, 1000, 2 2 -1
36.92, 2.435, 971, 1 1 2
41.01, 2.201, 562, 0 3 1
41.66, 2.168, 360, 1 1 -3
55.46, 1.657, 312, 3 3 -1
63.45, 1.466, 301, 1 3 3

=====

# 2
For Na2La2Ag, a PBE-relaxed structure gives the calculated X-ray diffraction stick pattern in this record (λ = 1.5418 Å (Cu Kα)).

Crystal structure
a b c (Å): 7.275 7.275 5.812
angles (deg): 90.00 90.00 90.00
Space group P4/mbm (No. 127)
Unique sites:
Na 0.140 0.360 0.000 (multiplicity 4)
La 0.177 0.677 0.500 (multiplicity 4)
Ag 0.000 0.000 0.000 (multiplicity 2)

Peak list (10 most intense, 15° ≤ 2θ ≤ 90°, in order of rising 2θ)
2θ/deg, d_spacing, intensity, h k l
23.09, 3.852, 438, 1 1 1
27.41, 3.253, 328, 2 1 0
28.96, 3.083, 852, 2 0 1
30.77, 2.906, 471, 0 0 2
31.51, 2.839, 1000, 2 1 1
39.16, 2.301, 343, 3 1 0
41.67, 2.167, 215, 2 1 2
50.61, 1.804, 320, 3 1 2
54.34, 1.688, 249, 4 1 1
55.91, 1.645, 206, 3 3 1

=====

# 3
For PuSnH2, a PBE-relaxed structure gives the calculated X-ray diffraction stick pattern in this record (λ = 1.5418 Å (Cu Kα)).

Crystal structure
a b c (Å): 3.6077 3.6077 16.0628
angles (deg): 90.00 90.00 120.00
Space group R-3m (No. 166, hexagonal axes)
Unique sites:
Pu 0.0000 0.0000 0.0000 (multiplicity 3)
Sn 0.0000 0.0000 0.5000 (multiplicity 3)
H 0.0000 0.0000 0.2994 (multiplicity 6)

Peak list (10 most intense, 15° ≤ 2θ ≤ 90°, in order of rising 2θ)
2θ/deg, d_spacing, intensity, h k l
16.56, 5.354, 152, 0 0 3
30.71, 2.912, 1000, 0 1 2
33.47, 2.677, 272, 0 0 6
36.44, 2.466, 653, 1 0 4
50.60, 1.804, 264, 1 1 0
54.31, 1.689, 211, 0 1 8
60.36, 1.533, 155, 2 0 2
62.04, 1.496, 289, 1 1 6
63.95, 1.456, 132, 0 2 4
82.58, 1.168, 134, 1 2 2